[1]
# Pr4CdC
Computed powder X-ray diffraction pattern, λ = 1.5418 Å (Cu Kα). Input: a structure optimized by DFT (GGA-PBE).
Kinematic intensities with the Lorentz-polarization factor, no thermal factor.

Peak list (6 most intense, 2θ from 15° to 90°, in order of rising 2θ)
2theta	I/Imax	h k l
28.8	45	1 1 -2
29.1	80	0 4 1
29.3	45	2 0 -2
29.7	79	1 3 1
31.2	41	3 1 -1
32.4	100	2 4 -1

Structure:
a b c (Å): 8.7606 14.5954 6.3873
angles (deg): 90.00 117.11 90.00
Space group C2/c (No. 15)
Unique sites:
Pr: 0.1335 0.2015 0.1327 [8 per cell]
Pr: 0.2089 0.0483 0.6806 [8 per cell]
Cd: 0.0000 0.3864 0.7500 [4 per cell]
C: 0.0000 0.0734 0.2500 [4 per cell]



[2]
# Y2Tm5Sc2
Computed powder X-ray diffraction pattern, λ = 1.5418 Å (Cu Kα). Input: a structure optimized by DFT (GGA-PBE).
Kinematic intensities with the Lorentz-polarization factor, no thermal factor.

Peak list (6 most intense, 2θ from 15° to 90°, in order of rising 2θ)
2theta	I/Imax	h k l
28.4	20	1 -1 1
29.0	20	1 2 0
31.8	47	1 -1 2
32.3	97	1 0 -2
32.5	100	1 1 3
33.6	48	0 2 1

Structure:
a b c (Å): 5.5133 6.3031 8.8745
angles (deg): 85.14 71.96 65.42
Space group P-1 (No. 2)
Unique sites:
Y: 0.2233 0.2878 0.3549 [2 per cell]
Tm: 0.0831 0.1436 0.7533 [2 per cell]
Tm: 0.2526 0.5799 0.8744 [2 per cell]
Tm: 0.5000 0.0000 0.0000 [1 per cell]
Sc: 0.3459 0.7512 0.4517 [2 per cell]



[3]
# Th2FeC4
Computed powder X-ray diffraction pattern, λ = 1.5418 Å (Cu Kα). Input: a structure optimized by DFT (GGA-PBE).
Kinematic intensities with the Lorentz-polarization factor, no thermal factor.

Peak list (6 most intense, 2θ from 15° to 90°, in order of rising 2θ)
2theta	I/Imax	h k l
27.0	100	1 2 1
28.5	20	1 3 0
30.9	40	2 1 1
34.2	20	0 0 2
53.6	26	4 1 1
58.0	20	3 3 2

Structure:
a b c (Å): 7.3445 10.3719 5.2499
angles (deg): 90.00 90.00 90.00
Space group Ibam (No. 72)
Unique sites:
Th: 0.1775 0.1401 0.0000 [8 per cell]
Fe: 0.0000 0.5000 0.2500 [4 per cell]
C: 0.1593 0.4167 0.0000 [8 per cell]
C: 0.1612 0.1304 0.5000 [8 per cell]



[4]
# Pu2Ge3
Computed powder X-ray diffraction pattern, λ = 1.5418 Å (Cu Kα). Input: a structure optimized by DFT (GGA-PBE).
Kinematic intensities with the Lorentz-polarization factor, no thermal factor.

Peak list (6 most intense, 2θ from 15° to 90°, in order of rising 2θ)
2theta	I/Imax	h k l
28.1	23	2 1 0
32.5	36	2 0 1
34.9	100	2 1 1
40.1	23	3 1 0
57.5	20	4 1 1
59.0	27	3 3 1

Structure:
a b c (Å): 7.1050 7.1050 4.3664
angles (deg): 90.00 90.00 90.00
Space group P4/mbm (No. 127)
Unique sites:
Pu: 0.1742 0.3258 0.0000 [4 per cell]
Ge: 0.0000 0.0000 0.5000 [2 per cell]
Ge: 0.1270 0.6270 0.5000 [4 per cell]



[5]
# Cu4Pd3Pt2
Computed powder X-ray diffraction pattern, λ = 1.5418 Å (Cu Kα). Input: a structure optimized by DFT (GGA-PBE).
Kinematic intensities with the Lorentz-polarization factor, no thermal factor.

Peak list (6 most intense, 2θ from 15° to 90°, in order of rising 2θ)
2theta	I/Imax	h k l
40.8	100	3 1 0
46.6	17	2 0 3
46.7	17	0 2 0
49.3	14	4 0 -3
82.4	12	5 1 3
82.6	12	3 3 0

Structure:
a b c (Å): 8.3584 3.8925 8.0664
angles (deg): 90.00 105.67 90.00
Space group C2/m (No. 12)
Unique sites:
Cu: 0.9997 0.0000 0.1674 [4 per cell]
Cu: 0.1662 0.5000 0.3899 [4 per cell]
Pd: 0.0000 0.0000 0.5000 [2 per cell]
Pd: 0.1655 0.5000 0.0614 [4 per cell]
Pt: 0.1673 0.5000 0.7183 [4 per cell]



[6]
# Ac8As3Se4N
Computed powder X-ray diffraction pattern, λ = 1.5418 Å (Cu Kα). Input: a structure optimized by DFT (GGA-PBE).
Kinematic intensities with the Lorentz-polarization factor, no thermal factor.

Peak list (6 most intense, 2θ from 15° to 90°, in order of rising 2θ)
2theta	I/Imax	h k l
24.6	36	2 0 2
28.4	100	0 2 4
40.4	37	2 0 8
40.8	37	2 2 0
50.5	20	4 0 4
66.8	16	2 4 4

Structure:
a b c (Å): 8.8440 8.8440 21.9711
angles (deg): 90.00 90.00 120.00
Space group R-3m (No. 166, hexagonal axes)
Unique sites:
Ac: 0.0000 0.0000 0.2475 [6 per cell]
Ac: 0.0216 0.5108 0.2420 [18 per cell]
As: 0.0000 0.5000 0.5000 [9 per cell]
Se: 0.0000 0.0000 0.0000 [3 per cell]
Se: 0.0000 0.5000 0.0000 [9 per cell]
N: 0.0000 0.0000 0.5000 [3 per cell]



[7]
# BaZnSiPt6
Computed powder X-ray diffraction pattern, λ = 1.5418 Å (Cu Kα). Input: a structure optimized by DFT (GGA-PBE).
Kinematic intensities with the Lorentz-polarization factor, no thermal factor.

Peak list (6 most intense, 2θ from 15° to 90°, in order of rising 2θ)
2theta	I/Imax	h k l
31.4	36	0 0 4
31.6	100	2 2 0
35.3	18	1 1 4
40.4	32	0 4 0
45.2	75	2 2 4
49.7	20	4 0 0

Structure:
a b c (Å): 7.3374 8.9278 11.3799
angles (deg): 90.00 90.00 90.00
Space group Imma (No. 74)
Unique sites:
Ba: 0.0000 0.2500 0.1590 [4 per cell]
Zn: 0.2500 0.2500 0.7500 [4 per cell]
Si: 0.0000 0.0000 0.5000 [4 per cell]
Pt: 0.0000 0.2500 0.4253 [4 per cell]
Pt: 0.0000 0.2500 0.8935 [4 per cell]
Pt: 0.2504 0.0202 0.6231 [16 per cell]



[8]
# Na6IrBr12
Computed powder X-ray diffraction pattern, λ = 1.5418 Å (Cu Kα). Input: a structure optimized by DFT (GGA-PBE).
Kinematic intensities with the Lorentz-polarization factor, no thermal factor.

Peak list (6 most intense, 2θ from 15° to 90°, in order of rising 2θ)
2theta	I/Imax	h k l
22.7	89	2 1 1
25.1	83	1 2 2
31.1	48	3 0 3
32.4	58	4 -1 2
33.3	100	3 -1 4
38.3	42	4 1 0

Structure:
a b c (Å): 12.4463 12.4463 14.3606
angles (deg): 90.00 90.00 120.00
Space group R-3 (No. 148, hexagonal axes)
Unique sites:
Na: 0.0040 0.7600 0.0991 [18 per cell]
Ir: 0.0000 0.0000 0.5000 [3 per cell]
Br: 0.0010 0.2253 0.1043 [18 per cell]
Br: 0.0593 0.8755 0.4002 [18 per cell]



[9]
# Sr3Li2Ag3
Computed powder X-ray diffraction pattern, λ = 1.5418 Å (Cu Kα). Input: a structure optimized by DFT (GGA-PBE).
Kinematic intensities with the Lorentz-polarization factor, no thermal factor.

Peak list (6 most intense, 2θ from 15° to 90°, in order of rising 2θ)
2theta	I/Imax	h k l
27.8	67	1 4 1
29.0	100	1 0 2
30.5	70	2 4 0
33.4	88	1 3 2
34.6	84	3 0 1
36.6	47	1 4 2

Structure:
a b c (Å): 8.4651 16.2699 6.6114
angles (deg): 90.00 90.00 90.00
Space group Pnma (No. 62)
Unique sites:
Sr: 0.0278 0.1058 0.1443 [8 per cell]
Sr: 0.1714 0.2500 0.6160 [4 per cell]
Li: 0.1257 0.5976 0.3679 [8 per cell]
Ag: 0.1716 0.0400 0.5929 [8 per cell]
Ag: 0.1839 0.7500 0.5958 [4 per cell]



[10]
# K2Hf2CuSe6
Computed powder X-ray diffraction pattern, λ = 1.5418 Å (Cu Kα). Input: a structure optimized by DFT (GGA-PBE).
Kinematic intensities with the Lorentz-polarization factor, no thermal factor.

Peak list (6 most intense, 2θ from 15° to 90°, in order of rising 2θ)
2theta	I/Imax	h k l
30.5	100	1 3 1
31.0	44	2 0 -2
37.7	31	1 3 2
40.6	28	1 3 -3
47.4	31	3 3 -1
50.3	18	1 3 -4

Structure:
a b c (Å): 6.6100 11.7378 8.2018
angles (deg): 90.00 105.52 90.00
Space group C2/m (No. 12)
Unique sites:
K: 0.0000 0.1617 0.0000 [4 per cell]
Hf: 0.0000 0.3303 0.5000 [4 per cell]
Cu: 0.0000 0.0000 0.5000 [2 per cell]
Se: 0.2372 0.1691 0.6948 [8 per cell]
Se: 0.2402 0.5000 0.6795 [4 per cell]



[11]
# Pm8Sm3Y2
Computed powder X-ray diffraction pattern, λ = 1.5418 Å (Cu Kα). Input: a structure optimized by DFT (GGA-PBE).
Kinematic intensities with the Lorentz-polarization factor, no thermal factor.

Peak list (6 most intense, 2θ from 15° to 90°, in order of rising 2θ)
2theta	I/Imax	h k l
28.6	55	2 2 1
29.8	16	3 1 1
30.2	100	4 2 -1
31.0	22	2 0 -2
32.3	20	1 1 -2
32.6	42	0 4 0

Structure:
a b c (Å): 14.8677 10.9910 5.7815
angles (deg): 90.00 108.51 90.00
Space group C2/m (No. 12)
Unique sites:
Pm: 0.0751 0.0000 0.2361 [4 per cell]
Pm: 0.1663 0.5000 0.6277 [4 per cell]
Pm: 0.1698 0.2708 0.1635 [8 per cell]
Sm: 0.0000 0.2528 0.5000 [4 per cell]
Sm: 0.0000 0.5000 0.0000 [2 per cell]
Y: 0.1708 0.0000 0.7990 [4 per cell]



[12]
# ScMn2Cr
Computed powder X-ray diffraction pattern, λ = 1.5418 Å (Cu Kα). Input: a structure optimized by DFT (GGA-PBE).
Kinematic intensities with the Lorentz-polarization factor, no thermal factor.

Peak list (6 most intense, 2θ from 15° to 90°, in order of rising 2θ)
2theta	I/Imax	h k l
16.7	16	0 0 1
41.2	32	1 0 1
41.7	100	1 1 -1
48.5	19	0 2 0
65.5	14	1 2 1
85.9	10	1 3 -1

Structure:
a b c (Å): 2.7584 3.7531 5.4521
angles (deg): 90.00 103.63 90.00
Space group P2/m (No. 10)
Unique sites:
Sc: 0.0000 0.0000 0.0000 [1 per cell]
Mn: 0.2916 0.5000 0.6964 [2 per cell]
Cr: 0.5000 0.0000 0.5000 [1 per cell]